Starting from a cell relaxed with GGA-PBE, the XRD peak list of Li2U3P4O20 was computed for Cu Kα (weighted mean of Kα1 and Kα2).
Peak positions follow from Bragg's law for the DFT cell and can differ from measured ones.

The 6 most intense peaks (2θ from 10° to 90°), by intensity:
- 16.85°, d = 5.263 Å, intensity 100
- 25.08°, d = 3.550 Å, intensity 71
- 17.88°, d = 4.960 Å, intensity 68
- 20.01°, d = 4.438 Å, intensity 44
- 18.45°, d = 4.809 Å, intensity 43
- 21.55°, d = 4.124 Å, intensity 41

Structural model:
```
data_Li2U3P4O20
_cell_length_a 5.4276
_cell_length_b 6.8074
_cell_length_c 12.6972
_cell_angle_alpha 95.27
_cell_angle_beta 99.11
_cell_angle_gamma 111.00
_symmetry_space_group_name_H-M 'P -1'
_symmetry_Int_Tables_number 2
_symmetry_space_group_name_Hall '-P 1'
loop_
_atom_site_label
_atom_site_type_symbol
_atom_site_fract_x
_atom_site_fract_y
_atom_site_fract_z
Li1 Li 0.1121 0.0680 0.3111
U1 U 0.3816 0.8412 0.1313
U2 U 0.5000 0.5000 0.5000
P1 P 0.0206 0.4238 0.6846
P2 P 0.4923 0.3287 0.1429
O1 O 0.0450 0.7461 0.0533
O2 O 0.1309 0.4458 0.3681
O3 O 0.1736 0.7797 0.2852
O4 O 0.1939 0.5707 0.7980
O5 O 0.2112 0.3818 0.6172
O6 O 0.2769 0.0487 0.7871
O7 O 0.3398 0.1667 0.2090
O8 O 0.3953 0.5095 0.1292
O9 O 0.4293 0.2212 0.4515
O10 O 0.4895 0.1911 0.0389
```